Entry 1:
Diffraction record for Pr8Ir5Pt. The PXRD pattern is simulated, not measured: it uses a crystal structure in Alexandria, relaxed with GGA-PBE and Cu Kα.

Structural model:
Cell lengths 8.980, 8.980, 8.947 Å; angles 90.00, 90.00, 90.00 degrees
Space group I-4 (No. 82)
Unique sites:
Pr  0.062  0.311  0.066 (multiplicity 8)
Pr  0.064  0.184  0.686 (multiplicity 8)
Ir  0.000  0.000  0.000 (multiplicity 2)
Ir  0.127  0.248  0.376 (multiplicity 8)
Pt  0.000  0.500  0.750 (multiplicity 2)

Peak list (10 most intense, 5° ≤ 2θ ≤ 70°, sorted by position)
| d [Å] | I/Imax | (hkl) |
| --- | --- | --- |
| 3.662 | 17 | 1 2 1 |
| 2.839 | 100 | 3 1 0 |
| 2.830 | 49 | 1 0 3 |
| 2.397 | 80 | 2 3 1 |
| 2.007 | 17 | 2 4 0 |
| 1.912 | 20 | 3 2 3 |
| 1.831 | 16 | 2 2 4 |
| 1.760 | 25 | 4 3 1 |
| 1.456 | 27 | 1 6 1 |
| 1.453 | 13 | 1 1 6 |

***

Entry 2:
Diffraction record for Pr2Sb4Ir3Pt. The PXRD pattern is simulated, not measured: it uses a crystal structure in Alexandria, relaxed with GGA-PBE and Cu Kα.

Structural model:
Cell lengths 4.630, 4.630, 10.397 Å; angles 90.00, 90.00, 90.00 degrees
Space group P-4m2 (No. 115)
Unique sites:
Pr  0.000  0.500  0.244 (multiplicity 2)
Sb  0.000  0.000  0.500 (multiplicity 1)
Sb  0.000  0.500  0.868 (multiplicity 2)
Sb  0.500  0.500  0.500 (multiplicity 1)
Ir  0.000  0.000  0.000 (multiplicity 1)
Ir  0.000  0.500  0.620 (multiplicity 2)
Pt  0.500  0.500  0.000 (multiplicity 1)

Peak list (10 most intense, 5° ≤ 2θ ≤ 70°, sorted by position)
| d [Å] | I/Imax | (hkl) |
| --- | --- | --- |
| 5.199 | 10 | 0 0 2 |
| 2.772 | 100 | 1 1 2 |
| 2.315 | 53 | 2 0 0 |
| 2.036 | 28 | 1 1 4 |
| 1.897 | 12 | 1 0 5 |
| 1.778 | 21 | 2 1 3 |
| 1.637 | 18 | 2 2 0 |
| 1.532 | 10 | 1 1 6 |
| 1.467 | 11 | 2 1 5 |
| 1.410 | 20 | 3 1 2 |

***

Entry 3:
Diffraction record for PrScIrPt. The PXRD pattern is simulated, not measured: it uses a crystal structure in Alexandria, relaxed with GGA-PBE and Cu Kα.

Structural model:
Cell lengths 6.903, 6.903, 6.903 Å; angles 90.00, 90.00, 90.00 degrees
Space group F-43m (No. 216)
Unique sites:
Pr  0.000  0.000  0.000 (multiplicity 4)
Sc  0.000  0.000  0.500 (multiplicity 4)
Ir  0.250  0.250  0.750 (multiplicity 4)
Pt  0.250  0.250  0.250 (multiplicity 4)

Peak list (9 most intense, 5° ≤ 2θ ≤ 70°, sorted by position)
| d [Å] | I/Imax | (hkl) |
| --- | --- | --- |
| 3.985 | 7 | 1 1 1 |
| 3.451 | 14 | 2 0 0 |
| 2.440 | 100 | 2 2 0 |
| 2.081 | 4 | 3 1 1 |
| 1.993 | 4 | 2 2 2 |
| 1.726 | 18 | 4 0 0 |
| 1.584 | 2 | 3 3 1 |
| 1.543 | 6 | 4 2 0 |
| 1.409 | 36 | 4 2 2 |

***

Entry 4:
Diffraction record for Pr3Ir8Rh. The PXRD pattern is simulated, not measured: it uses a crystal structure in Alexandria, relaxed with GGA-PBE and Cu Kα.

Structural model:
Cell lengths 5.4110, 5.4110, 26.4466 Å; angles 90.00, 90.00, 120.00 degrees
Space group R3m (No. 160, hexagonal axes)
Unique sites:
Pr  0.0000  0.0000  0.0000 (multiplicity 3)
Pr  0.0000  0.0000  0.1298 (multiplicity 3)
Pr  0.0000  0.0000  0.6136 (multiplicity 3)
Ir  0.0000  0.0000  0.3129 (multiplicity 3)
Ir  0.0000  0.0000  0.8149 (multiplicity 3)
Ir  0.1678  0.3355  0.3978 (multiplicity 9)
Ir  0.1683  0.3366  0.8945 (multiplicity 9)
Rh  0.0000  0.0000  0.4802 (multiplicity 3)

Peak list (10 most intense, 5° ≤ 2θ ≤ 70°, sorted by position)
| d [Å] | I/Imax | (hkl) |
| --- | --- | --- |
| 4.415 | 22 | 0 0 6 |
| 2.704 | 17 | 1 1 0 |
| 2.306 | 100 | 1 1 6 |
| 2.207 | 55 | 0 0 12 |
| 1.912 | 14 | 2 0 8 |
| 1.755 | 5 | 0 2 10 |
| 1.562 | 4 | 3 0 0 |
| 1.472 | 29 | 0 3 6 |
| 1.353 | 16 | 2 2 0 |
| 1.351 | 12 | 0 2 16 |

***

Entry 5:
Diffraction record for Pr4IrRh. The PXRD pattern is simulated, not measured: it uses a crystal structure in Alexandria, relaxed with GGA-PBE and Cu Kα.

Structural model:
Cell lengths 7.130, 7.134, 7.132 Å; angles 90.00, 90.23, 90.00 degrees
Space group P2_1/c (No. 14)
Unique sites:
Pr  0.167  0.168  0.169 (multiplicity 4)
Pr  0.331  0.669  0.167 (multiplicity 4)
Ir  0.000  0.000  0.500 (multiplicity 2)
Rh  0.500  0.000  0.000 (multiplicity 2)

Peak list (10 most intense, 5° ≤ 2θ ≤ 70°, sorted by position)
| d [Å] | I/Imax | (hkl) |
| --- | --- | --- |
| 4.118 | 35 | 1 1 1 |
| 3.190 | 100 | 1 0 -2 |
| 2.911 | 39 | 2 1 1 |
| 2.523 | 47 | 2 2 0 |
| 2.378 | 17 | 1 2 2 |
| 2.151 | 57 | 1 1 -3 |
| 1.908 | 26 | 2 3 -1 |
| 1.904 | 20 | 3 1 2 |
| 1.730 | 14 | 4 1 0 |
| 1.596 | 18 | 4 0 -2 |

***

Entry 6:
Diffraction record for PrSi2IrRh. The PXRD pattern is simulated, not measured: it uses a crystal structure in Alexandria, relaxed with GGA-PBE and Cu Kα.

Structural model:
Cell lengths 4.121, 4.121, 10.257 Å; angles 90.00, 90.00, 90.00 degrees
Space group I-4m2 (No. 119)
Unique sites:
Pr  0.000  0.000  0.000 (multiplicity 2)
Si  0.000  0.000  0.374 (multiplicity 4)
Ir  0.000  0.500  0.750 (multiplicity 2)
Rh  0.000  0.500  0.250 (multiplicity 2)

Peak list (10 most intense, 5° ≤ 2θ ≤ 70°, sorted by position)
| d [Å] | I/Imax | (hkl) |
| --- | --- | --- |
| 5.128 | 18 | 0 0 2 |
| 3.824 | 25 | 1 0 1 |
| 2.631 | 24 | 1 0 3 |
| 2.564 | 20 | 0 0 4 |
| 2.534 | 100 | 1 1 2 |
| 2.061 | 35 | 2 0 0 |
| 1.622 | 11 | 2 1 3 |
| 1.606 | 19 | 2 0 4 |
| 1.475 | 19 | 1 1 6 |
| 1.457 | 11 | 2 2 0 |